Diffraction record for Cd5SnHg3. The powder XRD pattern is simulated, not measured: it uses a structure optimized by DFT (PBE) and λ = 1.5418 Å (Cu Kα).
Kinematic intensities with the Lorentz-polarization factor, no thermal factor.

Main lines, most intense first (2θ from 15° to 90°):
- 2θ = 34.61°, rel. 100
- 2θ = 62.02°, rel. 25
- 2θ = 69.44°, rel. 16
- 2θ = 49.75°, rel. 16
- 2θ = 45.16°, rel. 10
- 2θ = 24.28°, rel. 7
- 2θ = 28.11°, rel. 7
- 2θ = 83.38°, rel. 6
- 2θ = 73.00°, rel. 5
- 2θ = 58.12°, rel. 4

Atomic structure:
```
Cd5SnHg3
1.0
8.9788 0.0000 0.0000
-4.4894 7.7759 0.0000
0.0000 0.0000 6.3488
Cd Sn Hg
10 2 6
direct
0.0000 0.3221 0.2500
0.0000 0.6779 0.7500
0.3221 0.0000 0.2500
0.3221 0.3221 0.7500
0.3333 0.6667 0.0000
0.3333 0.6667 0.5000
0.6667 0.3333 0.0000
0.6667 0.3333 0.5000
0.6779 0.0000 0.7500
0.6779 0.6779 0.2500
0.0000 0.0000 0.0000
0.0000 0.0000 0.5000
0.0000 0.3524 0.7500
0.0000 0.6476 0.2500
0.3524 0.0000 0.7500
0.3524 0.3524 0.2500
0.6476 0.0000 0.2500
0.6476 0.6476 0.7500
```